The following is a theoretical X-ray powder pattern of VCrO. It was derived from a crystal structure in Alexandria, relaxed with GGA+U, using Cu Kα X-rays.
Neutral-atom scattering factors, no anomalous dispersion.

Most intense lines, 2θ = 5–70°, in order of falling intensity:
Position (°2θ)	Rel. int.	hkl
37.2	100	2 0 2
43.8	81	3 1 1
38.6	55	2 1 1
35.1	49	1 1 1
36.2	45	4 0 0
65.7	28	6 0 2
33.9	26	0 1 1
50.4	22	4 1 1
32.4	21	0 0 2
61.6	16	0 2 0

Structural model:
abc: 9.939 3.010 5.528
angles: 90.00 90.00 90.00
Space group Amm2 (No. 38)
Unique sites:
V  0.232  0.000  0.000 (multiplicity 4)
Cr  0.000  0.000  0.680 (multiplicity 2)
Cr  0.500  0.000  0.202 (multiplicity 2)
O  0.358  0.000  0.677 (multiplicity 4)

The following is a theoretical X-ray powder pattern of ZrV2CrO8. It was derived from a crystal structure in Alexandria, relaxed with GGA+U, using Cu Kα X-rays.
Neutral-atom scattering factors, no anomalous dispersion.

Most intense lines, 2θ = 5–70°, in order of falling intensity:
Position (°2θ)	Rel. int.	hkl
25.9	100	2 0 0
33.9	68	1 1 2
51.0	57	3 1 2
53.3	18	4 0 0
64.7	17	3 3 2
19.1	12	1 0 1
37.0	11	2 2 0
60.2	11	4 2 0
65.1	11	2 0 4
38.8	10	2 0 2

Structural model:
abc: 6.877 6.877 6.302
angles: 90.00 90.00 90.00
Space group I-4m2 (No. 119)
Unique sites:
Zr  0.000  0.000  0.000 (multiplicity 2)
V  0.000  0.000  0.500 (multiplicity 2)
V  0.000  0.500  0.250 (multiplicity 2)
Cr  0.000  0.500  0.750 (multiplicity 2)
O  0.000  0.191  0.685 (multiplicity 8)
O  0.000  0.298  0.086 (multiplicity 8)